(1)
Cd2GaPb2: simulated powder XRD pattern (Cu Kα, 1.54184 Å), based on a PBE-relaxed structure.
Kinematic intensities with the Lorentz-polarization factor, no thermal factor.

Crystal structure
```
data_Cd2GaPb2
_chemical_formula_sum 'Cd4 Ga2 Pb4'
_cell_length_a 7.9118
_cell_length_b 7.9118
_cell_length_c 4.5519
_cell_angle_alpha 90.00
_cell_angle_beta 90.00
_cell_angle_gamma 90.00
_space_group_name_H-M_alt 'P 4/m b m'
_space_group_IT_number 127
_space_group_name_Hall '-P 4 2ab'
loop_
_atom_site_label
_atom_site_fract_x
_atom_site_fract_y
_atom_site_fract_z
Cd1 0.1493 0.3507 0.0000
Ga1 0.0000 0.0000 0.5000
Pb1 0.1557 0.6557 0.5000
```

Top 10 peaks for 2θ from 10° to 90°, by angle:
Position (°2θ)  intensity  index
15.84  9.6  1 1 0
19.50  10.3  0 0 1
32.04  100.0  2 1 1
35.89  27.1  3 1 0
39.60  14.5  0 0 2
45.89  9.6  4 0 0
51.69  15.5  4 1 1
54.50  16.3  3 1 2
66.93  22.1  5 2 1
67.12  11.7  2 1 3



(2)
Pr2NiHRh: simulated powder XRD pattern (Cu Kα, 1.54184 Å), based on a PBE-relaxed structure.
Kinematic intensities with the Lorentz-polarization factor, no thermal factor.

Crystal structure
```
data_Pr2NiHRh
_chemical_formula_sum 'Pr4 Ni2 H2 Rh2'
_cell_length_a 5.8396
_cell_length_b 4.4096
_cell_length_c 7.9719
_cell_angle_alpha 90.00
_cell_angle_beta 111.25
_cell_angle_gamma 90.00
_space_group_name_H-M_alt 'P 1 21/m 1'
_space_group_IT_number 11
_space_group_name_Hall '-P 2yb'
loop_
_atom_site_label
_atom_site_fract_x
_atom_site_fract_y
_atom_site_fract_z
Pr1 0.2056 0.2500 0.4346
Pr2 0.2876 0.7500 0.0703
Ni1 0.3578 0.7500 0.7113
H1 0.3688 0.7500 0.5108
Rh1 0.1645 0.2500 0.8020
```

Top 10 peaks for 2θ from 10° to 90°, by angle:
Position (°2θ)  intensity  index
26.03  38.0  1 1 -1
31.14  77.9  1 1 1
31.49  100.0  0 1 2
32.96  87.1  2 0 0
33.90  28.7  1 0 -3
38.93  91.8  2 1 0
39.75  56.5  1 1 -3
40.93  53.1  0 2 0
45.40  37.2  1 0 3
53.52  47.5  2 2 0



(3)
Tl2SeCl: simulated powder XRD pattern (Cu Kα, 1.54184 Å), based on a PBE-relaxed structure.
Kinematic intensities with the Lorentz-polarization factor, no thermal factor.

Crystal structure
```
data_Tl2SeCl
_chemical_formula_sum 'Tl2 Se1 Cl1'
_cell_length_a 4.2381
_cell_length_b 4.2381
_cell_length_c 7.2920
_cell_angle_alpha 90.00
_cell_angle_beta 90.00
_cell_angle_gamma 90.00
_space_group_name_H-M_alt 'P 4 m m'
_space_group_IT_number 99
_space_group_name_Hall 'P 4 -2'
loop_
_atom_site_label
_atom_site_fract_x
_atom_site_fract_y
_atom_site_fract_z
Tl1 0.0000 0.0000 0.0000
Tl2 0.5000 0.5000 0.4955
Se1 0.5000 0.5000 0.0267
Cl1 0.0000 0.0000 0.5995
```

Top 10 peaks for 2θ from 10° to 90°, by angle:
Position (°2θ)  intensity  index
24.29  100.0  1 0 1
24.41  70.3  0 0 2
29.81  94.8  1 1 0
38.90  83.6  1 1 2
42.67  35.8  2 0 0
42.89  33.1  1 0 3
49.74  72.8  2 0 2
62.10  22.5  2 1 3
67.58  23.1  2 2 2
75.59  24.3  3 1 2



(4)
Mg2Ag6Hg: simulated powder XRD pattern (Cu Kα, 1.54184 Å), based on a PBE-relaxed structure.
Kinematic intensities with the Lorentz-polarization factor, no thermal factor.

Crystal structure
```
data_Mg2Ag6Hg
_chemical_formula_sum 'Mg4 Ag12 Hg2'
_cell_length_a 9.4415
_cell_length_b 4.1308
_cell_length_c 9.0358
_cell_angle_alpha 90.00
_cell_angle_beta 109.32
_cell_angle_gamma 90.00
_space_group_name_H-M_alt 'C 1 2/m 1'
_space_group_IT_number 12
_space_group_name_Hall '-C 2y'
loop_
_atom_site_label
_atom_site_fract_x
_atom_site_fract_y
_atom_site_fract_z
Mg1 0.1711 0.0000 0.2320
Ag1 0.0004 0.5000 0.3360
Ag2 0.1663 0.0000 0.5545
Ag3 0.1664 0.0000 0.8840
Hg1 0.0000 0.5000 0.0000
```

Top 10 peaks for 2θ from 10° to 90°, by angle:
Position (°2θ)  intensity  index
20.83  14.4  0 0 2
24.58  21.4  1 1 -1
36.94  100.0  1 1 -3
37.29  97.7  3 1 0
42.48  33.6  4 0 -3
43.04  32.1  2 0 3
43.83  30.6  0 2 0
62.69  20.2  4 2 -3
63.11  19.7  2 2 3
75.31  12.7  5 1 3



(5)
Li6AgO4: simulated powder XRD pattern (Cu Kα, 1.54184 Å), based on a PBE-relaxed structure.
Kinematic intensities with the Lorentz-polarization factor, no thermal factor.

Crystal structure
```
data_Li6AgO4
_chemical_formula_sum 'Li12 Ag2 O8'
_cell_length_a 7.0215
_cell_length_b 7.0215
_cell_length_c 5.4167
_cell_angle_alpha 90.00
_cell_angle_beta 90.00
_cell_angle_gamma 120.00
_space_group_name_H-M_alt 'P 63 m c'
_space_group_IT_number 186
_space_group_name_Hall 'P 6c -2c'
loop_
_atom_site_label
_atom_site_fract_x
_atom_site_fract_y
_atom_site_fract_z
Li1 0.0961 0.5480 0.0000
Li2 0.1307 0.2614 0.4025
Ag1 0.3333 0.6667 0.5996
O1 0.1691 0.3381 0.7959
O2 0.3333 0.6667 0.2206
```

Top 10 peaks for 2θ from 10° to 90°, by angle:
Position (°2θ)  intensity  index
14.57  52.8  1 0 0
21.98  100.0  1 0 1
25.37  54.1  1 1 0
29.38  23.7  2 0 0
33.81  27.2  2 0 1
36.31  17.2  1 0 2
42.14  37.9  1 1 2
42.74  45.7  2 1 1
52.13  28.7  2 2 0
59.55  16.7  2 0 3



(6)
Na5Sb2Te5: simulated powder XRD pattern (Cu Kα, 1.54184 Å), based on a PBE-relaxed structure.
Kinematic intensities with the Lorentz-polarization factor, no thermal factor.

Crystal structure
```
data_Na5Sb2Te5
_chemical_formula_sum 'Na10 Sb4 Te10'
_cell_length_a 14.1718
_cell_length_b 4.8596
_cell_length_c 12.9938
_cell_angle_alpha 90.00
_cell_angle_beta 108.48
_cell_angle_gamma 90.00
_space_group_name_H-M_alt 'C 1 2/m 1'
_space_group_IT_number 12
_space_group_name_Hall '-C 2y'
loop_
_atom_site_label
_atom_site_fract_x
_atom_site_fract_y
_atom_site_fract_z
Na1 0.0000 0.0000 0.0000
Na2 0.1514 0.0000 0.5361
Na3 0.2312 0.0000 0.8523
Sb1 0.0553 0.5000 0.2863
Te1 0.0000 0.5000 0.5000
Te2 0.1116 0.5000 0.9095
Te3 0.1812 0.0000 0.2946
```

Top 10 peaks for 2θ from 10° to 90°, by angle:
Position (°2θ)  intensity  index
19.42  90.6  1 1 0
21.48  99.1  2 0 -3
22.46  59.8  2 0 2
27.07  44.8  3 1 0
27.57  100.0  3 1 -2
29.66  61.3  3 1 1
36.45  43.5  0 0 5
37.00  59.5  0 2 0
41.00  54.5  5 1 1
43.22  47.5  6 0 1



(7)
Tb2Er7Tm4: simulated powder XRD pattern (Cu Kα, 1.54184 Å), based on a PBE-relaxed structure.
Kinematic intensities with the Lorentz-polarization factor, no thermal factor.

Crystal structure
```
data_Tb2Er7Tm4
_chemical_formula_sum 'Tb2 Er7 Tm4'
_cell_length_a 5.9799
_cell_length_b 5.9799
_cell_length_c 13.1217
_cell_angle_alpha 90.00
_cell_angle_beta 90.00
_cell_angle_gamma 120.00
_space_group_name_H-M_alt 'P -3 1 m'
_space_group_IT_number 162
_space_group_name_Hall '-P 3 2'
loop_
_atom_site_label
_atom_site_fract_x
_atom_site_fract_y
_atom_site_fract_z
Tb1 0.3333 0.6667 0.0000
Er1 0.0000 0.0000 0.0000
Er2 0.0000 0.3532 0.2162
Tm1 0.0000 0.0000 0.3946
Tm2 0.3333 0.6667 0.5000
```

Top 10 peaks for 2θ from 10° to 90°, by angle:
Position (°2θ)  intensity  index
27.18  19.6  0 0 4
29.88  14.7  1 1 0
30.67  45.8  1 1 1
32.92  100.0  2 -1 2
34.17  14.1  0 0 5
36.40  31.3  1 1 3
51.80  18.4  2 -1 6
53.05  29.9  3 0 0
63.85  17.9  2 2 2
87.61  14.3  5 -1 2